For Li4Ti2Mn3Sb3O16, a crystal structure in Alexandria, relaxed with GGA+U gives the calculated X-ray diffraction stick pattern in this record (λ = 1.5418 Å (Cu Kα)).
Lines closer than 0.1° are merged.

Peak list (6 most intense, 2θ from 10° to 80°, sorted by position)
18.01°, 4.926 Å, rel. 1000
18.26°, 4.858 Å, rel. 434
18.64°, 4.760 Å, rel. 445
34.23°, 2.620 Å, rel. 505
34.65°, 2.589 Å, rel. 308
43.08°, 2.100 Å, rel. 282

Cell and atoms:
```
Li4Ti2Mn3Sb3O16
1.0
5.485 -3.094 0.000
5.485 3.094 0.000
-0.318 0.000 9.852
Li Ti Mn Sb O
4 2 3 3 16
Direct
0.000 0.000 0.000 Li
0.014 0.014 0.518 Li
0.331 0.331 0.605 Li
0.688 0.688 0.100 Li
0.321 0.321 0.000 Ti
0.639 0.639 0.531 Ti
0.182 0.182 0.291 Mn
0.335 0.824 0.794 Mn
0.824 0.335 0.794 Mn
0.184 0.675 0.284 Sb
0.675 0.184 0.284 Sb
0.823 0.823 0.785 Sb
0.009 0.009 0.185 O
0.062 0.503 0.155 O
0.150 0.653 0.907 O
0.172 0.172 0.923 O
0.340 0.832 0.412 O
0.355 0.355 0.398 O
0.500 0.500 0.166 O
0.503 0.062 0.155 O
0.515 0.515 0.644 O
0.529 0.953 0.653 O
0.653 0.150 0.907 O
0.676 0.676 0.899 O
0.832 0.340 0.412 O
0.861 0.861 0.392 O
0.953 0.529 0.653 O
0.985 0.985 0.701 O
```